[1]
Starting from the GGA-PBE geometry in Alexandria, the X-ray diffraction stick pattern of Pr8Hg2Ru3 was computed for Cu Kα, 1.54184 Å.
Peak positions follow from Bragg's law for the DFT cell and can differ from measured ones.

Principal peaks in the range 2θ from 10° to 80°, sorted by position:
2θ (°)  d (Å)  intensity  h k l
17.45  5.083  7  1 0 1
21.08  4.215  27  2 0 0
34.47  2.602  100  1 1 -3
35.32  2.542  50  0 2 0
41.49  2.177  10  2 2 0
48.26  1.886  8  4 0 -4
50.80  1.797  18  2 2 2
61.16  1.515  11  2 0 -6
62.80  1.480  27  1 3 -3
62.96  1.476  9  5 1 1

```
data_Pr8Hg2Ru3
_cell_length_a 9.0805
_cell_length_b 5.0874
_cell_length_c 9.1076
_cell_angle_alpha 90.00
_cell_angle_beta 112.10
_cell_angle_gamma 90.00
_space_group_name_H-M_alt 'P 1 2/m 1'
_space_group_IT_number 10
loop_
_space_group_symop_operation_xyz
'x,y,z'
'-x,-y,-z'
'-x,y,-z'
'x,-y,z'
loop_
_atom_site_label
_atom_site_fract_x
_atom_site_fract_y
_atom_site_fract_z
Pr1 0.1108 0.0000 0.3886
Pr2 0.1425 0.5000 0.8664
Pr3 0.3652 0.5000 0.6421
Pr4 0.3864 0.0000 0.1139
Hg1 0.2439 0.5000 0.2565
Ru1 0.2497 0.0000 0.7496
Ru2 0.5000 0.5000 0.0000
```

[2]
Starting from the GGA-PBE geometry in Alexandria, the X-ray diffraction stick pattern of YEr2Sc7 was computed for Cu Kα, 1.54184 Å.
Peak positions follow from Bragg's law for the DFT cell and can differ from measured ones.

Principal peaks in the range 2θ from 10° to 80°, sorted by position:
2θ (°)  d (Å)  intensity  h k l
16.30  5.438  32  1 0 -1
31.36  2.853  18  0 2 -1
32.80  2.730  100  1 -2 0
32.98  2.716  33  2 0 -2
38.05  2.365  23  -1 1 3
38.14  2.360  42  1 2 -2
54.88  1.673  22  1 -3 3
55.07  1.668  14  -3 2 2
65.43  1.426  20  0 4 -2
65.62  1.423  12  2 3 -1

```
data_YEr2Sc7
_cell_length_a 5.7641
_cell_length_b 5.7940
_cell_length_c 8.8400
_cell_angle_alpha 102.54
_cell_angle_beta 108.88
_cell_angle_gamma 99.75
_space_group_name_H-M_alt 'P -1'
_space_group_IT_number 2
loop_
_space_group_symop_operation_xyz
'x,y,z'
'-x,-y,-z'
loop_
_atom_site_label
_atom_site_fract_x
_atom_site_fract_y
_atom_site_fract_z
Y1 0.0000 0.0000 0.0000
Er1 0.2059 0.6038 0.2068
Sc1 0.0000 0.5000 0.5000
Sc2 0.1990 0.0938 0.6952
Sc3 0.3987 0.6965 0.8967
Sc4 0.4022 0.2019 0.4034
```

[3]
Starting from the GGA-PBE geometry in Alexandria, the X-ray diffraction stick pattern of SrSc was computed for Cu Kα, 1.54184 Å.
Peak positions follow from Bragg's law for the DFT cell and can differ from measured ones.

Principal peaks in the range 2θ from 10° to 80°, sorted by position:
2θ (°)  d (Å)  intensity  h k l
26.18  3.404  21  1 0 3
28.94  3.086  47  2 1 0
29.26  3.052  32  1 1 3
29.94  2.984  41  2 1 1
30.05  2.974  100  2 0 2
30.46  2.935  37  0 0 4
32.79  2.731  29  2 1 2
37.11  2.423  19  2 1 3
42.51  2.126  24  2 1 4
57.22  1.610  30  3 3 1

```
data_SrSc
_cell_length_a 6.8995
_cell_length_b 6.8995
_cell_length_c 11.7389
_cell_angle_alpha 90.00
_cell_angle_beta 90.00
_cell_angle_gamma 90.00
_space_group_name_H-M_alt 'P 43 21 2'
_space_group_IT_number 96
loop_
_space_group_symop_operation_xyz
'x,y,z'
'-y+1/2,x+1/2,z+3/4'
'-x,-y,z+1/2'
'y+1/2,-x+1/2,z+1/4'
'x+1/2,-y+1/2,-z+1/4'
'-y,-x,-z+1/2'
'-x+1/2,y+1/2,-z+3/4'
'y,x,-z'
loop_
_atom_site_label
_atom_site_fract_x
_atom_site_fract_y
_atom_site_fract_z
Sr1 0.0783 0.1927 0.1440
Sc1 0.0563 0.3041 0.5914
```

[4]
Starting from the GGA-PBE geometry in Alexandria, the X-ray diffraction stick pattern of Li2AgH6Pt was computed for Cu Kα, 1.54184 Å.
Peak positions follow from Bragg's law for the DFT cell and can differ from measured ones.

Principal peaks in the range 2θ from 10° to 80°, sorted by position:
2θ (°)  d (Å)  intensity  h k l
21.42  4.148  15  0 1 -1
24.65  3.611  51  0 0 1
24.88  3.578  100  1 1 -1
35.31  2.542  89  1 1 0
35.38  2.537  22  0 2 -1
35.58  2.523  22  2 0 -1
43.60  2.076  21  0 2 0
43.77  2.068  21  2 0 0
51.05  1.789  16  2 2 -2
57.14  1.612  20  1 1 1

```
data_Li2AgH6Pt
_cell_length_a 5.0468
_cell_length_b 5.0738
_cell_length_c 5.0804
_cell_angle_alpha 119.94
_cell_angle_beta 119.65
_cell_angle_gamma 90.10
_space_group_name_H-M_alt 'P -1'
_space_group_IT_number 2
loop_
_space_group_symop_operation_xyz
'x,y,z'
'-x,-y,-z'
loop_
_atom_site_label
_atom_site_fract_x
_atom_site_fract_y
_atom_site_fract_z
Li1 0.2482 0.2498 0.4960
Ag1 0.0000 0.5000 0.0000
H1 0.2106 0.8272 0.0018
H2 0.2647 0.7581 0.5269
H3 0.3253 0.2846 0.9943
Pt1 0.5000 0.0000 0.0000
```

[5]
Starting from the GGA-PBE geometry in Alexandria, the X-ray diffraction stick pattern of HfPd2Br was computed for Cu Kα, 1.54184 Å.
Peak positions follow from Bragg's law for the DFT cell and can differ from measured ones.

Principal peaks in the range 2θ from 10° to 80°, sorted by position:
2θ (°)  d (Å)  intensity  h k l
19.97  4.447  16  1 0 1
31.07  2.879  8  2 1 1
33.56  2.670  100  2 2 0
36.75  2.446  79  1 1 2
48.19  1.888  36  4 0 0
50.61  1.803  62  3 1 2
62.10  1.495  17  3 3 2
70.54  1.335  11  4 4 0
72.47  1.304  21  5 1 2
73.24  1.292  20  2 0 4

```
data_HfPd2Br
_cell_length_a 7.5528
_cell_length_b 7.5528
_cell_length_c 5.5017
_cell_angle_alpha 90.00
_cell_angle_beta 90.00
_cell_angle_gamma 90.00
_space_group_name_H-M_alt 'I -4 2 d'
_space_group_IT_number 122
_space_group_name_Hall 'I -4 2bw'
loop_
_atom_site_label
_atom_site_fract_x
_atom_site_fract_y
_atom_site_fract_z
Hf1 0.0000 0.0000 0.0000
Pd1 0.2410 0.7500 0.1250
Br1 0.0000 0.0000 0.5000
```

[6]
Starting from the GGA-PBE geometry in Alexandria, the X-ray diffraction stick pattern of KZrTlSe3 was computed for Cu Kα, 1.54184 Å.
Peak positions follow from Bragg's law for the DFT cell and can differ from measured ones.

Principal peaks in the range 2θ from 10° to 80°, sorted by position:
2θ (°)  d (Å)  intensity  h k l
12.86  6.886  100  1 1 0
23.32  3.814  35  2 0 0
25.88  3.443  54  2 2 0
26.10  3.414  73  1 3 1
26.79  3.328  28  0 0 2
29.08  3.070  43  0 2 2
30.29  2.951  52  1 5 0
30.41  2.940  78  2 0 -2
38.58  2.333  39  1 5 -2
40.61  2.222  36  2 0 2

```
data_KZrTlSe3
_cell_length_a 7.9358
_cell_length_b 15.9999
_cell_length_c 6.9180
_cell_angle_alpha 90.00
_cell_angle_beta 105.99
_cell_angle_gamma 90.00
_space_group_name_H-M_alt 'C 1 2/c 1'
_space_group_IT_number 15
loop_
_space_group_symop_operation_xyz
'x,y,z'
'-x,-y,-z'
'-x,y,-z+1/2'
'x,-y,z+1/2'
'x+1/2,y+1/2,z'
'-x+1/2,-y+1/2,-z'
'-x+1/2,y+1/2,-z+1/2'
'x+1/2,-y+1/2,z+1/2'
loop_
_atom_site_label
_atom_site_fract_x
_atom_site_fract_y
_atom_site_fract_z
K1 0.0000 0.0953 0.2500
Zr1 0.0000 0.4509 0.2500
Tl1 0.0000 0.2951 0.7500
Se1 0.0000 0.2936 0.2500
Se2 0.2194 0.4532 0.0056
```